No. 1
Structure and theoretical X-ray powder pattern of Tb5YPt4 (a structure optimized by DFT (GGA-PBE); λ = 1.5418 Å (Cu Kα)).
Intensities are scaled so that the largest is 100.

The 10 most intense peaks (10 to 90 degrees two-theta), sorted by position:
2θ/deg  d/Å  I/Imax
19.3  4.595  22
26.5  3.358  24
31.3  2.862  46
32.1  2.785  100
39.2  2.297  15
41.4  2.180  74
42.9  2.110  16
43.7  2.072  26
47.1  1.928  20
54.7  1.678  19

Structural model:
```
10
Lattice="-2.0719 3.8553 8.5819 2.0719 -3.8553 8.5819 2.0719 3.8553 -8.5819" Properties=species:S:1:pos:R:3 pbc="T T T"
Tb 0.0000 0.0000 0.0000
Tb 2.0719 1.9937 -2.8104
Tb 2.0719 1.9937 2.8104
Tb 0.0000 1.8616 5.7715
Tb 0.0000 1.8616 11.3923
Y 0.0000 3.8553 0.0000
Pt 2.0719 1.8998 0.0000
Pt 2.0719 0.0000 5.0031
Pt 0.0000 3.8553 3.5788
Pt 0.0000 1.9555 8.5819
```

No. 2
Structure and theoretical X-ray powder pattern of Er5Ni4 (a structure optimized by DFT (GGA-PBE); λ = 1.5418 Å (Cu Kα)).
Intensities are scaled so that the largest is 100.

The 10 most intense peaks (10 to 90 degrees two-theta), sorted by position:
2θ/deg  d/Å  I/Imax
27.6  3.233  52
28.6  3.125  48
32.9  2.725  100
35.3  2.543  53
35.4  2.536  78
36.1  2.487  72
41.0  2.204  36
44.5  2.035  46
49.8  1.831  38
86.4  1.126  26

Structural model:
```
9
Lattice="5.0894 -1.8310 0.0000 5.0894 1.8310 0.0000 -2.8983 0.0000 10.1738" Properties=species:S:1:pos:R:3 pbc="T T T"
Er 0.0000 0.0000 0.0000
Er -0.0282 0.0000 4.0317
Er -0.0658 0.0000 8.1878
Er 7.3463 0.0000 1.9860
Er 7.3087 0.0000 6.1421
Ni 2.8915 0.0000 4.0290
Ni 4.4233 0.0000 1.9541
Ni 2.8572 0.0000 8.2196
Ni 4.3890 0.0000 6.1448
```

No. 3
Structure and theoretical X-ray powder pattern of K6I5 (a structure optimized by DFT (GGA-PBE); λ = 1.5418 Å (Cu Kα)).
Intensities are scaled so that the largest is 100.

The 10 most intense peaks (10 to 90 degrees two-theta), sorted by position:
2θ/deg  d/Å  I/Imax
21.5  4.124  26
24.9  3.575  100
35.5  2.531  39
35.6  2.524  38
41.9  2.154  14
43.9  2.062  21
51.1  1.787  13
57.6  1.601  18
57.7  1.597  18
63.8  1.458  19

Structural model:
```
11
Lattice="4.3715 -7.5741 0.0000 4.3715 7.5741 0.0000 -2.9103 0.0000 8.2788" Properties=species:S:1:pos:R:3 pbc="T T T"
K -0.0059 2.5041 6.2015
K 1.4316 0.0000 2.0874
K -0.0059 -2.5041 6.2015
K 5.8386 2.5041 2.0773
K 4.4011 0.0000 6.1914
K 5.8386 -2.5041 2.0773
I 4.3715 5.0503 0.0000
I 2.9164 2.5299 4.1394
I 4.3715 0.0000 0.0000
I 2.9164 -2.5299 4.1394
I 4.3715 -5.0503 0.0000
```

No. 4
Structure and theoretical X-ray powder pattern of TiMo3 (a structure optimized by DFT (GGA-PBE); λ = 1.5418 Å (Cu Kα)).
Intensities are scaled so that the largest is 100.

The 10 most intense peaks (10 to 90 degrees two-theta), sorted by position:
2θ/deg  d/Å  I/Imax
22.3  3.979  7
40.2  2.245  25
40.3  2.237  100
40.7  2.219  24
58.2  1.586  8
58.5  1.578  16
73.1  1.295  24
73.4  1.290  8
73.8  1.285  16
87.1  1.119  11

Structural model:
```
4
Lattice="-1.5857 2.2192 4.4891 1.5857 -2.2192 4.4891 1.5857 2.2192 -4.4891" Properties=species:S:1:pos:R:3 pbc="T T T"
Ti 0.0000 0.0000 0.0000
Mo 1.5857 0.0000 2.3000
Mo 0.0000 0.0000 4.4891
Mo 0.0000 2.2192 2.1891
```

No. 5
Structure and theoretical X-ray powder pattern of PmErCuRh (a structure optimized by DFT (GGA-PBE); λ = 1.5418 Å (Cu Kα)).
Intensities are scaled so that the largest is 100.

The 10 most intense peaks (10 to 90 degrees two-theta), sorted by position:
2θ/deg  d/Å  I/Imax
26.5  3.369  20
32.2  2.779  100
34.3  2.616  27
34.9  2.574  31
40.1  2.249  18
40.6  2.222  55
41.0  2.201  29
47.7  1.907  19
54.9  1.673  17
64.7  1.441  15

Structural model:
```
4
Lattice="4.4026 0.0000 0.0000 0.0000 1.9070 5.2325 0.0000 -1.9070 5.2325" Properties=species:S:1:pos:R:3 pbc="T T T"
Pm 0.0000 0.0000 0.0000
Er 2.2013 0.0000 7.5567
Cu 2.2013 0.0000 4.5084
Rh 0.0000 0.0000 2.8825
```

No. 6
Structure and theoretical X-ray powder pattern of Pu4Ge12Pt (a structure optimized by DFT (GGA-PBE); λ = 1.5418 Å (Cu Kα)).
Intensities are scaled so that the largest is 100.

The 10 most intense peaks (10 to 90 degrees two-theta), sorted by position:
2θ/deg  d/Å  I/Imax
20.4  4.356  20
29.0  3.080  79
35.7  2.515  100
38.7  2.328  16
41.5  2.178  76
51.4  1.778  28
60.1  1.540  46
68.1  1.377  21
71.9  1.313  32
82.9  1.164  21

Structural model:
```
17
Lattice="-4.3557 4.3557 4.3557 4.3557 -4.3557 4.3557 4.3557 4.3557 -4.3557" Properties=species:S:1:pos:R:3 pbc="T T T"
Pu 2.1779 2.1779 -2.1779
Pu 2.1779 -2.1779 2.1779
Pu -2.1779 2.1779 2.1779
Pu 2.1779 2.1779 2.1779
Ge 2.5864 0.0000 0.0000
Ge 6.1250 0.0000 0.0000
Ge 4.3557 2.1779 0.0000
Ge 4.3557 0.0000 2.1779
Ge 0.0000 2.5864 0.0000
Ge 0.0000 0.0000 2.5864
Ge 2.1779 4.3557 0.0000
Ge 2.1779 0.0000 4.3557
Ge 0.0000 6.1250 0.0000
Ge 0.0000 0.0000 6.1250
Ge 0.0000 4.3557 2.1779
Ge 0.0000 2.1779 4.3557
Pt 0.0000 0.0000 0.0000
```

No. 7
Structure and theoretical X-ray powder pattern of Tl3Hg5Au (a structure optimized by DFT (GGA-PBE); λ = 1.5418 Å (Cu Kα)).
Intensities are scaled so that the largest is 100.

The 10 most intense peaks (10 to 90 degrees two-theta), sorted by position:
2θ/deg  d/Å  I/Imax
30.0  2.977  100
32.7  2.738  78
34.0  2.637  43
38.7  2.325  45
39.8  2.264  43
40.8  2.210  30
54.1  1.694  23
57.5  1.602  33
61.6  1.505  33
75.9  1.253  11

Structural model:
```
9
Lattice="8.0549 0.0000 0.0000 -4.0275 6.9758 0.0000 0.0000 0.0000 4.4205" Properties=species:S:1:pos:R:3 pbc="T T T"
Tl -1.5757 2.7291 0.0000
Tl 3.1513 0.0000 0.0000
Tl 2.4518 4.2466 0.0000
Hg -3.0205 5.2317 2.2102
Hg 1.0069 1.7440 2.2102
Hg 0.0000 4.6505 2.2102
Hg 4.0275 2.3252 2.2102
Hg 6.0411 0.0000 2.2102
Au 0.0000 0.0000 0.0000
```

No. 8
Structure and theoretical X-ray powder pattern of Cs3Sc2Cl9 (a structure optimized by DFT (GGA-PBE); λ = 1.5418 Å (Cu Kα)).
Intensities are scaled so that the largest is 100.

The 10 most intense peaks (10 to 90 degrees two-theta), sorted by position:
2θ/deg  d/Å  I/Imax
19.7  4.515  52
23.8  3.746  37
28.4  3.143  22
31.0  2.883  100
39.9  2.257  23
48.6  1.873  21
51.9  1.760  19
57.3  1.609  15
58.8  1.571  17
79.7  1.204  18

Structural model:
```
28
Lattice="6.4879 3.7458 6.2864 -6.4879 3.7458 6.2864 0.0000 -7.4916 6.2864" Properties=species:S:1:pos:R:3 pbc="T T T"
Cs -4.2882 0.0642 7.8580
Cs -2.1997 -3.6816 11.0012
Cs 2.0885 -3.7458 7.8580
Cs -2.0885 3.7458 11.0012
Cs 2.1997 3.6816 7.8580
Cs 4.2882 -0.0642 11.0012
Sc 0.0000 0.0000 2.9381
Sc 0.0000 0.0000 6.4915
Sc 0.0000 0.0000 12.3677
Sc 0.0000 0.0000 15.9212
Cl -5.4561 -1.8911 10.7869
Cl -1.0903 -5.6707 8.0724
Cl -1.9346 0.0000 4.7148
Cl -1.0903 -1.8210 7.6436
Cl 0.9673 -1.6754 4.7148
Cl -4.3658 3.7795 8.0724
Cl 0.9673 1.6754 4.7148
Cl -1.0318 1.8547 7.6436
Cl -2.1221 0.0337 11.2156
Cl 2.1221 -0.0337 7.6436
Cl 1.0318 -1.8547 11.2156
Cl -0.9673 -1.6754 14.1445
Cl 4.3658 -3.7795 10.7868
Cl -0.9673 1.6754 14.1445
Cl 1.0903 1.8209 11.2156
Cl 1.9346 0.0000 14.1445
Cl 1.0903 5.6707 10.7869
Cl 5.4561 1.8911 8.0724
```

No. 9
Structure and theoretical X-ray powder pattern of SnS2Br2Cl2 (a structure optimized by DFT (GGA-PBE); λ = 1.5418 Å (Cu Kα)).
Intensities are scaled so that the largest is 100.

The 10 most intense peaks (10 to 90 degrees two-theta), sorted by position:
2θ/deg  d/Å  I/Imax
11.4  7.751  33
14.4  6.160  14
15.6  5.681  100
24.7  3.611  17
24.8  3.584  21
28.7  3.115  24
29.9  2.984  33
31.5  2.841  14
33.5  2.675  28
36.0  2.493  19

Structural model:
```
7
Lattice="7.7772 -1.8887 0.0000 7.7772 1.8887 0.0000 -7.0286 0.0000 9.1191" Properties=species:S:1:pos:R:3 pbc="T T T"
Sn 0.0000 0.0000 0.0000
S -3.2218 0.0000 5.4606
S 11.7477 0.0000 3.6585
Br 1.7014 0.0000 1.8706
Br 6.8245 0.0000 7.2485
Cl 6.4342 0.0000 1.2211
Cl 2.0917 0.0000 7.8980
```

No. 10
Structure and theoretical X-ray powder pattern of CeNi8Pd3 (a structure optimized by DFT (GGA-PBE); λ = 1.5418 Å (Cu Kα)).
Intensities are scaled so that the largest is 100.

The 10 most intense peaks (10 to 90 degrees two-theta), sorted by position:
2θ/deg  d/Å  I/Imax
37.1  2.422  52
40.7  2.217  87
43.1  2.097  14
44.0  2.060  100
44.7  2.026  68
46.3  1.959  11
69.3  1.355  33
71.7  1.317  23
75.8  1.255  26
79.1  1.211  23

Structural model:
```
12
Lattice="4.8432 0.0000 0.0000 -2.4216 4.1944 0.0000 0.0000 0.0000 7.8369" Properties=species:S:1:pos:R:3 pbc="T T T"
Ce 0.0000 0.0000 0.0000
Ni 0.0000 1.3863 5.2976
Ni -1.2210 3.5012 5.2976
Ni 0.0000 2.7962 3.3684
Ni 0.0000 2.7962 7.2811
Ni 2.4216 0.0203 1.4872
Ni 1.2284 2.0870 1.4872
Ni 1.2210 3.5012 5.2976
Ni 3.6148 2.0870 1.4872
Pd 0.0000 0.0000 2.9901
Pd 2.4216 1.3981 3.8662
Pd 2.4216 1.3981 6.7338
```

No. 11
Structure and theoretical X-ray powder pattern of Tb3PmNdTm (a structure optimized by DFT (GGA-PBE); λ = 1.5418 Å (Cu Kα)).
Intensities are scaled so that the largest is 100.

The 10 most intense peaks (10 to 90 degrees two-theta), sorted by position:
2θ/deg  d/Å  I/Imax
30.2  2.960  59
32.1  2.785  100
43.2  2.093  22
54.9  1.674  22
54.9  1.673  22
58.5  1.578  18
67.2  1.392  12
71.2  1.324  10
72.3  1.307  9
88.1  1.109  12

Structural model:
```
12
Lattice="2.9615 -5.5948 0.0000 2.9615 5.5948 0.0000 0.0000 0.0000 11.8355" Properties=species:S:1:pos:R:3 pbc="T T T"
Tb 2.9615 3.6686 5.9991
Tb 2.9615 3.6686 11.7541
Tb 2.9615 1.9454 2.9589
Tb 2.9615 -1.9454 8.8766
Tb 2.9615 -3.6686 0.0814
Tb 2.9615 -3.6686 5.8363
Pm 2.9615 5.5077 2.9589
Pm 2.9615 -5.5077 8.8766
Nd 2.9615 0.0000 0.0000
Nd 2.9615 0.0000 5.9177
Tm 2.9615 1.8653 8.8766
Tm 2.9615 -1.8653 2.9589
```

No. 12
Structure and theoretical X-ray powder pattern of K5RhO5 (a structure optimized by DFT (GGA-PBE); λ = 1.5418 Å (Cu Kα)).
Intensities are scaled so that the largest is 100.

The 10 most intense peaks (10 to 90 degrees two-theta), sorted by position:
2θ/deg  d/Å  I/Imax
13.1  6.783  63
17.0  5.208  16
18.8  4.724  38
29.5  3.029  67
30.3  2.952  56
34.4  2.606  100
35.1  2.556  46
49.5  1.842  27
50.0  1.825  30
59.1  1.563  19

Structural model:
```
11
Lattice="5.8928 -2.6073 0.0000 5.8928 2.6073 0.0000 -2.3012 0.0000 6.7826" Properties=species:S:1:pos:R:3 pbc="T T T"
K 0.0000 0.0000 0.0000
K 3.3050 0.0000 1.3484
K 2.3928 0.0000 4.4217
K 7.0917 0.0000 2.3608
K 6.1795 0.0000 5.4341
Rh -1.1506 0.0000 3.3913
O 0.5946 0.0000 2.4977
O -0.2377 0.0000 5.1761
O 4.7423 0.0000 3.3913
O 9.7222 0.0000 1.6064
O 8.8900 0.0000 4.2849
```

No. 13
Structure and theoretical X-ray powder pattern of In2Sn2Pb (a structure optimized by DFT (GGA-PBE); λ = 1.5418 Å (Cu Kα)).
Intensities are scaled so that the largest is 100.

The 10 most intense peaks (10 to 90 degrees two-theta), sorted by position:
2θ/deg  d/Å  I/Imax
31.2  2.870  54
32.0  2.795  100
33.7  2.663  48
34.2  2.621  91
46.5  1.952  36
54.6  1.682  19
58.8  1.570  18
59.2  1.562  17
60.4  1.533  16
60.5  1.529  18

Structural model:
```
5
Lattice="4.5210 -2.6629 0.0000 4.5210 2.6629 0.0000 -2.7516 0.0000 5.9745" Properties=species:S:1:pos:R:3 pbc="T T T"
In 1.5527 0.0000 0.6324
In 4.7378 0.0000 5.3421
Sn 1.6794 0.0000 4.4460
Sn 4.6111 0.0000 1.5285
Pb -1.3758 0.0000 2.9873
```

No. 14
Structure and theoretical X-ray powder pattern of PaPdSe2 (a structure optimized by DFT (GGA-PBE); λ = 1.5418 Å (Cu Kα)).
Intensities are scaled so that the largest is 100.

The 10 most intense peaks (10 to 90 degrees two-theta), sorted by position:
2θ/deg  d/Å  I/Imax
21.9  4.055  15
22.6  3.939  13
25.8  3.454  17
36.0  2.497  24
36.7  2.449  100
37.6  2.391  26
42.9  2.109  12
53.0  1.727  16
65.1  1.432  13
67.3  1.391  17

Structural model:
```
8
Lattice="4.7824 0.0000 0.0000 0.0000 6.9479 0.0000 0.0000 0.0000 4.9935" Properties=species:S:1:pos:R:3 pbc="T T T"
Pa 0.0000 1.7123 0.0000
Pa 2.3912 5.2357 2.4968
Pd 0.0000 4.9282 4.5873
Pd 2.3912 2.0197 2.0905
Se 0.0000 3.2984 2.5062
Se 0.0000 6.8949 2.5971
Se 2.3912 0.0530 0.1004
Se 2.3912 3.6496 0.0095
```